[1]
Structure and theoretical powder XRD pattern of LaBWO6 (DFT lattice parameters and positions (PBE+U); Cu Ka).
Lines closer than 0.1° are merged.

Largest 10 diffraction maxima, by angle, 2θ = 5–70°:
two_theta  d_spacing  Rel. int.
18.80  4.720  41
21.87  4.065  35
25.89  3.442  75
26.30  3.389  100
27.10  3.291  56
28.85  3.094  69
29.59  3.019  65
29.73  3.005  33
43.89  2.063  30
44.22  2.048  52

Structural model:
```
LaBWO6
1.0
6.1136 0.0000 0.0000
0.0000 4.0988 0.0000
-1.6263 0.0000 9.4357
La B W O
2 2 2 12
direct
0.1412 0.0000 0.1963
0.8588 0.5000 0.8037
0.3831 0.4148 0.0012
0.6169 0.9148 0.9988
0.2873 0.9529 0.6447
0.7127 0.4529 0.3553
0.0549 0.0124 0.7469
0.1760 0.5159 0.0028
0.2287 0.0166 0.4556
0.2807 0.5044 0.6598
0.4235 0.5202 0.2684
0.4328 0.0859 0.0296
0.5672 0.5859 0.9704
0.5765 0.0202 0.7316
0.7193 0.0044 0.3402
0.7713 0.5166 0.5444
0.8240 0.0159 0.9972
0.9451 0.5124 0.2531
```

[2]
Structure and theoretical powder XRD pattern of LiMn2B2O6 (DFT lattice parameters and positions (PBE+U); Cu Ka).
Lines closer than 0.1° are merged.

Largest 10 diffraction maxima, by angle, 2θ = 5–70°:
two_theta  d_spacing  Rel. int.
19.95  4.450  100
20.07  4.424  27
20.61  4.310  28
21.93  4.052  63
22.75  3.909  82
33.84  2.649  67
34.90  2.571  81
37.25  2.414  30
40.80  2.212  33
52.94  1.730  38

Structural model:
```
LiMn2B2O6
1.0
5.3023 0.0000 0.0000
-0.0730 5.8173 0.0000
-0.0719 -2.7606 16.2097
Li Mn B O
4 8 8 24
direct
0.1624 0.0601 0.1150
0.3294 0.1924 0.6347
0.6706 0.8076 0.3653
0.8376 0.9399 0.8850
0.1922 0.4552 0.7924
0.1930 0.9643 0.2870
0.3005 0.2997 0.4583
0.3155 0.7826 0.9648
0.6845 0.2174 0.0352
0.6995 0.7003 0.5417
0.8070 0.0357 0.7130
0.8078 0.5448 0.2076
0.1747 0.2867 0.9581
0.1767 0.7939 0.4503
0.3229 0.4698 0.2962
0.3254 0.9530 0.7954
0.6746 0.0470 0.2046
0.6771 0.5302 0.7038
0.8233 0.2061 0.5497
0.8253 0.7133 0.0419
0.0777 0.7464 0.0552
0.0787 0.2180 0.5521
0.1690 0.6184 0.2591
0.1844 0.8254 0.8455
0.1963 0.0737 0.7421
0.1956 0.2988 0.3331
0.3054 0.1528 0.0084
0.3065 0.4408 0.9169
0.3141 0.9454 0.4063
0.3266 0.6526 0.4904
0.4170 0.0326 0.1962
0.4258 0.4986 0.6971
0.5742 0.5014 0.3029
0.5830 0.9674 0.8038
0.6734 0.3474 0.5096
0.6859 0.0546 0.5937
0.6935 0.5592 0.0831
0.6946 0.8472 0.9916
0.8044 0.7012 0.6669
0.8037 0.9263 0.2579
0.8156 0.1746 0.1545
0.8310 0.3816 0.7409
0.9213 0.7820 0.4479
0.9223 0.2536 0.9448
```

[3]
Structure and theoretical powder XRD pattern of Li5Mn6B6O18 (DFT lattice parameters and positions (PBE+U); Cu Ka).
Lines closer than 0.1° are merged.

Largest 10 diffraction maxima, by angle, 2θ = 5–70°:
two_theta  d_spacing  Rel. int.
20.22  4.392  90
20.70  4.291  25
21.98  4.043  45
22.58  3.937  71
33.78  2.653  100
33.97  2.639  31
34.07  2.632  34
34.48  2.601  25
39.85  2.262  28
40.73  2.215  38

Structural model:
```
Li5Mn6B6O18
1.0
5.2640 0.0000 0.0000
-2.6051 5.6137 0.0000
-0.2488 -1.1714 12.8727
Li Mn B O
5 6 6 18
direct
0.0000 0.0000 0.0000
0.0426 0.4630 0.8205
0.3306 0.6649 0.6620
0.3834 0.1428 0.4790
0.7127 0.7923 0.1570
0.1194 0.2900 0.2200
0.2664 0.8467 0.2751
0.4626 0.9586 0.8727
0.5808 0.5029 0.9421
0.7861 0.6202 0.5365
0.9130 0.1700 0.6088
0.1406 0.6310 0.0529
0.2392 0.5172 0.4337
0.4779 0.3009 0.7161
0.5459 0.1359 0.0998
0.8114 0.9598 0.3858
0.8954 0.8245 0.7659
0.1139 0.5441 0.3396
0.1215 0.5332 0.5274
0.1337 0.7835 0.7612
0.2405 0.3426 0.7229
0.2441 0.5965 0.9581
0.2907 0.6347 0.1453
0.4005 0.1278 0.1903
0.4167 0.1547 0.0075
0.4573 0.4551 0.4276
0.5625 0.9827 0.3905
0.5764 0.2640 0.6207
0.6286 0.3047 0.8079
0.7448 0.8192 0.6748
0.7957 0.1154 0.1004
0.7970 0.8620 0.8622
0.9038 0.6725 0.0580
0.9236 0.9366 0.2911
0.9629 0.9722 0.4772
```